# 1
This entry pairs a crystal structure of Ni15Cl16 with its simulated powder X-ray diffraction pattern. Radiation: a wavelength of 1.5418 Å. Structure: a crystal structure in the Materials Project, relaxed with GGA-PBE.
Neutral-atom scattering factors, no anomalous dispersion.

Structural model:
```
data_Ni15Cl16
_chemical_formula_sum 'Ni30 Cl32'
_symmetry_space_group_name_H-M 'I m -3 m'
_symmetry_Int_Tables_number 229
_symmetry_space_group_name_Hall '-I 4 2 3'
_cell_length_a 9.8965
_cell_length_b 9.8965
_cell_length_c 9.8965
_cell_angle_alpha 90.00
_cell_angle_beta 90.00
_cell_angle_gamma 90.00
loop_
_atom_site_label
_atom_site_fract_x
_atom_site_fract_y
_atom_site_fract_z
Ni1 0.0000 0.0000 0.5000
Ni2 0.0000 0.2455 0.2455
Cl1 0.0000 0.0000 0.2626
Cl2 0.0000 0.2500 0.5000
Cl3 0.2500 0.2500 0.2500
```

Top 8 peaks for 15 to 90 degrees two-theta, by angle:
d (Å)	I (rel.)	h k l
4.040	5	2 1 1
2.857	14	2 2 2
2.474	100	4 0 0
1.749	63	4 4 0
1.492	6	6 2 2
1.428	20	4 4 4
1.237	9	8 0 0
1.106	26	8 4 0

# 2
This entry pairs a crystal structure of Ni6Cl7 with its simulated powder X-ray diffraction pattern. Radiation: a wavelength of 1.5418 Å. Structure: a crystal structure in the Materials Project, relaxed with GGA-PBE.
Neutral-atom scattering factors, no anomalous dispersion.

Structural model:
```
data_Ni6Cl7
_chemical_formula_sum 'Ni12 Cl14'
_symmetry_space_group_name_H-M 'P -1'
_symmetry_Int_Tables_number 2
_cell_length_a 6.0610
_cell_length_b 6.9905
_cell_length_c 10.6331
_cell_angle_alpha 89.60
_cell_angle_beta 84.10
_cell_angle_gamma 73.57
loop_
_symmetry_equiv_pos_as_xyz
'x,y,z'
'-x,-y,-z'
loop_
_atom_site_label
_atom_site_fract_x
_atom_site_fract_y
_atom_site_fract_z
Ni1 0.0000 0.0000 0.0000
Ni2 0.0000 0.5000 0.0000
Ni3 0.1445 0.2126 0.7161
Ni4 0.2874 0.4272 0.4273
Ni5 0.2872 0.9293 0.4340
Ni6 0.4238 0.1517 0.1509
Ni7 0.4247 0.6387 0.1452
Cl1 0.0085 0.2399 0.5151
Cl2 0.1436 0.4678 0.2128
Cl3 0.1498 0.9618 0.1952
Cl4 0.2846 0.1887 0.9209
Cl5 0.2976 0.6754 0.9289
Cl6 0.4473 0.3809 0.6361
Cl7 0.4505 0.8937 0.6450
```

Top 8 peaks for 15 to 90 degrees two-theta, by angle:
d (Å)	I (rel.)	h k l
2.506	100	1 0 4
2.485	99	-1 2 1
2.464	97	2 2 -1
1.770	32	0 2 5
1.758	93	3 2 3
1.752	31	3 0 -2
1.748	31	1 4 0
1.436	15	2 4 4

# 3
This entry pairs a crystal structure of RbNiCl3 with its simulated powder X-ray diffraction pattern. Radiation: a wavelength of 1.5418 Å. Structure: a crystal structure in the Materials Project, relaxed with GGA-PBE.
Neutral-atom scattering factors, no anomalous dispersion.

Structural model:
```
data_RbNiCl3
_chemical_formula_sum 'Rb2 Ni2 Cl6'
_symmetry_space_group_name_H-M 'P 63/m m c'
_symmetry_Int_Tables_number 194
_symmetry_space_group_name_Hall '-P 6c 2c'
_cell_length_a 7.0562
_cell_length_b 7.0562
_cell_length_c 5.9436
_cell_angle_alpha 90.00
_cell_angle_beta 90.00
_cell_angle_gamma 120.00
loop_
_atom_site_label
_atom_site_fract_x
_atom_site_fract_y
_atom_site_fract_z
Rb1 0.3333 0.6667 0.2500
Ni1 0.0000 0.0000 0.0000
Cl1 0.1550 0.3101 0.7500
```

Top 8 peaks for 15 to 90 degrees two-theta, by angle:
d (Å)	I (rel.)	h k l
4.261	26	1 0 1
3.528	49	1 1 0
2.717	100	2 0 1
2.673	23	1 0 2
2.130	44	2 0 2
1.824	25	2 1 2
1.764	29	2 2 0
1.662	20	2 0 3

# 4
This entry pairs a crystal structure of TlNiCl3 with its simulated powder X-ray diffraction pattern. Radiation: a wavelength of 1.5418 Å. Structure: a crystal structure in the Materials Project, relaxed with GGA-PBE.
Neutral-atom scattering factors, no anomalous dispersion.

Structural model:
```
data_TlNiCl3
_chemical_formula_sum 'Tl2 Ni2 Cl6'
_symmetry_space_group_name_H-M 'P 63/m m c'
_symmetry_Int_Tables_number 194
_symmetry_space_group_name_Hall '-P 6c 2c'
_cell_length_a 6.9836
_cell_length_b 6.9836
_cell_length_c 5.9034
_cell_angle_alpha 90.00
_cell_angle_beta 90.00
_cell_angle_gamma 120.00
loop_
_atom_site_label
_atom_site_fract_x
_atom_site_fract_y
_atom_site_fract_z
Tl1 0.3333 0.6667 0.2500
Ni1 0.0000 0.0000 0.0000
Cl1 0.1565 0.3130 0.7500
```

Top 8 peaks for 15 to 90 degrees two-theta, by angle:
d (Å)	I (rel.)	h k l
4.225	92	1 0 1
3.492	74	1 1 0
2.691	100	2 0 1
2.653	27	1 0 2
2.132	27	2 1 1
2.112	33	2 0 2
1.807	23	2 1 2
1.746	25	2 2 0

# 5
This entry pairs a crystal structure of NpCl3 with its simulated powder X-ray diffraction pattern. Radiation: a wavelength of 1.5418 Å. Structure: a crystal structure in the Materials Project, relaxed with GGA-PBE.
Neutral-atom scattering factors, no anomalous dispersion.

Structural model:
```
data_NpCl3
_chemical_formula_sum 'Np2 Cl6'
_symmetry_space_group_name_H-M 'P 63/m'
_symmetry_Int_Tables_number 176
_symmetry_space_group_name_Hall '-P 6c'
_cell_length_a 7.4425
_cell_length_b 7.4425
_cell_length_c 4.3086
_cell_angle_alpha 90.00
_cell_angle_beta 90.00
_cell_angle_gamma 120.00
loop_
_atom_site_label
_atom_site_fract_x
_atom_site_fract_y
_atom_site_fract_z
Np1 0.3333 0.6667 0.2500
Cl1 0.0857 0.3913 0.7500
```

Top 8 peaks for 15 to 90 degrees two-theta, by angle:
d (Å)	I (rel.)	h k l
3.721	68	1 1 0
3.582	100	1 0 1
2.581	90	2 0 1
2.148	34	3 0 0
2.121	83	2 1 1
1.521	23	3 0 2
1.407	25	4 1 0
1.399	27	2 3 1

# 6
This entry pairs a crystal structure of Rb4NpS2ClO10 with its simulated powder X-ray diffraction pattern. Radiation: a wavelength of 1.5418 Å. Structure: a crystal structure in the Materials Project, relaxed with GGA-PBE.
Neutral-atom scattering factors, no anomalous dispersion.

Structural model:
```
data_Rb4NpS2ClO10
_chemical_formula_sum 'Rb8 Np2 S4 Cl2 O20'
_symmetry_space_group_name_H-M 'P 1 2/c 1'
_symmetry_Int_Tables_number 13
_cell_length_a 10.7442
_cell_length_b 4.6681
_cell_length_c 16.3803
_cell_angle_alpha 90.00
_cell_angle_beta 116.95
_cell_angle_gamma 90.00
loop_
_symmetry_equiv_pos_as_xyz
'x,y,z'
'-x,-y,-z'
'-x,y,-z+1/2'
'x,-y,z+1/2'
loop_
_atom_site_label
_atom_site_fract_x
_atom_site_fract_y
_atom_site_fract_z
Rb1 0.0652 0.2295 0.1293
Rb2 0.3353 0.2348 0.8945
Np1 0.5000 0.2619 0.2500
S1 0.3011 0.3444 0.5743
Cl1 0.0000 0.2682 0.7500
O1 0.1608 0.2553 0.5597
O2 0.3164 0.3354 0.0871
O3 0.3298 0.2584 0.4976
O4 0.3578 0.2619 0.2843
O5 0.4139 0.2282 0.6645
```

Top 8 peaks for 15 to 90 degrees two-theta, by angle:
d (Å)	I (rel.)	h k l
3.545	100	1 1 -3
3.509	29	2 1 -1
3.367	72	2 0 2
3.238	25	3 0 -4
2.781	26	3 1 -1
2.334	27	0 2 0
2.201	37	1 1 5
1.918	26	2 2 2

# 7
This entry pairs a crystal structure of OsCl4O with its simulated powder X-ray diffraction pattern. Radiation: a wavelength of 1.5418 Å. Structure: a crystal structure in the Materials Project, relaxed with GGA-PBE.
Neutral-atom scattering factors, no anomalous dispersion.

Structural model:
```
data_OsCl4O
_chemical_formula_sum 'Os4 Cl16 O4'
_symmetry_space_group_name_H-M 'P 1 21/c 1'
_symmetry_Int_Tables_number 14
_cell_length_a 10.2095
_cell_length_b 6.0087
_cell_length_c 12.7312
_cell_angle_alpha 90.00
_cell_angle_beta 110.52
_cell_angle_gamma 90.00
loop_
_symmetry_equiv_pos_as_xyz
'x,y,z'
'-x,-y,-z'
'-x,y+1/2,-z+1/2'
'x,-y+1/2,z+1/2'
loop_
_atom_site_label
_atom_site_fract_x
_atom_site_fract_y
_atom_site_fract_z
Os1 0.2293 0.1107 0.4702
Cl1 0.1152 0.6597 0.8467
Cl2 0.2694 0.6635 0.1007
Cl3 0.2934 0.2383 0.3276
Cl4 0.4414 0.2416 0.5817
O1 0.1076 0.2168 0.9851
```

Top 8 peaks for 15 to 90 degrees two-theta, by angle:
d (Å)	I (rel.)	h k l
5.366	100	0 1 1
5.088	50	1 1 0
4.781	62	2 0 0
4.598	57	2 0 -2
4.285	25	1 1 -2
3.887	51	2 1 -1
3.318	26	2 1 1
2.812	30	1 1 -4

# 8
This entry pairs a crystal structure of PCl3O with its simulated powder X-ray diffraction pattern. Radiation: a wavelength of 1.5418 Å. Structure: a crystal structure in the Materials Project, relaxed with GGA-PBE.
Neutral-atom scattering factors, no anomalous dispersion.

Structural model:
```
data_PCl3O
_chemical_formula_sum 'P4 Cl12 O4'
_symmetry_space_group_name_H-M 'P n a 21'
_symmetry_Int_Tables_number 33
_cell_length_a 10.1191
_cell_length_b 6.1282
_cell_length_c 9.9725
_cell_angle_alpha 90.00
_cell_angle_beta 90.00
_cell_angle_gamma 90.00
loop_
_symmetry_equiv_pos_as_xyz
'x,y,z'
'-x,-y,z+1/2'
'-x+1/2,y+1/2,z+1/2'
'x+1/2,-y+1/2,z'
loop_
_atom_site_label
_atom_site_fract_x
_atom_site_fract_y
_atom_site_fract_z
P1 0.1781 0.1020 0.0000
Cl1 0.0218 0.9005 0.0007
Cl2 0.1481 0.2955 0.8402
Cl3 0.1483 0.2982 0.1586
O1 0.1931 0.4907 0.5003
```

Top 8 peaks for 15 to 90 degrees two-theta, by angle:
d (Å)	I (rel.)	h k l
5.227	59	0 1 1
4.986	49	0 0 2
4.640	61	1 1 1
4.512	93	2 0 1
3.902	100	2 1 0
3.633	50	2 1 1
3.613	43	1 1 2
2.809	62	1 1 3

What did the seventh record say?
This entry pairs a crystal structure of OsCl4O with its simulated powder X-ray diffraction pattern. Radiation: a wavelength of 1.5418 Å. Structure: a crystal structure in the Materials Project, relaxed with GGA-PBE.
Neutral-atom scattering factors, no anomalous dispersion.

Structural model:
```
data_OsCl4O
_chemical_formula_sum 'Os4 Cl16 O4'
_symmetry_space_group_name_H-M 'P 1 21/c 1'
_symmetry_Int_Tables_number 14
_cell_length_a 10.2095
_cell_length_b 6.0087
_cell_length_c 12.7312
_cell_angle_alpha 90.00
_cell_angle_beta 110.52
_cell_angle_gamma 90.00
loop_
_symmetry_equiv_pos_as_xyz
'x,y,z'
'-x,-y,-z'
'-x,y+1/2,-z+1/2'
'x,-y+1/2,z+1/2'
loop_
_atom_site_label
_atom_site_fract_x
_atom_site_fract_y
_atom_site_fract_z
Os1 0.2293 0.1107 0.4702
Cl1 0.1152 0.6597 0.8467
Cl2 0.2694 0.6635 0.1007
Cl3 0.2934 0.2383 0.3276
Cl4 0.4414 0.2416 0.5817
O1 0.1076 0.2168 0.9851
```

Top 8 peaks for 15 to 90 degrees two-theta, by angle:
d (Å)	I (rel.)	h k l
5.366	100	0 1 1
5.088	50	1 1 0
4.781	62	2 0 0
4.598	57	2 0 -2
4.285	25	1 1 -2
3.887	51	2 1 -1
3.318	26	2 1 1
2.812	30	1 1 -4